Starting from a crystal structure in the Materials Project, relaxed with GGA-PBE, the powder diffractogram of PaCl2O was simulated for Cu Ka.

Structure:
```
data_PaCl2O
_cell_length_a 15.5562
_cell_length_b 18.0822
_cell_length_c 4.0083
_cell_angle_alpha 90.00
_cell_angle_beta 90.00
_cell_angle_gamma 90.00
_symmetry_space_group_name_H-M 'P b a m'
_symmetry_Int_Tables_number 55
_symmetry_space_group_name_Hall '-P 2 2ab'
loop_
_atom_site_label
_atom_site_fract_x
_atom_site_fract_y
_atom_site_fract_z
Pa1 0.1574 0.1647 0.0000
Pa2 0.1654 0.7470 0.5000
Pa3 0.2205 0.5263 0.5000
Cl1 0.0317 0.7804 0.0000
Cl2 0.0675 0.0841 0.5000
Cl3 0.0736 0.6153 0.5000
Cl4 0.1239 0.4554 0.0000
Cl5 0.1413 0.2809 0.5000
Cl6 0.1747 0.9017 0.5000
O1 0.2179 0.7369 0.0000
O2 0.2249 0.0537 0.0000
O3 0.2406 0.1474 0.5000
```

Top 10 peaks for 15 to 90 degrees two-theta, low angle first:
| d (Å) | 2θ/deg | Rel. int. | index |
| --- | --- | --- | --- |
| 3.931 | 22.62 | 47 | 3 3 0 |
| 3.569 | 24.95 | 65 | 4 2 0 |
| 3.496 | 25.48 | 100 | 2 1 1 |
| 3.279 | 27.20 | 45 | 2 5 0 |
| 2.999 | 29.79 | 39 | 0 4 1 |
| 2.945 | 30.35 | 45 | 1 4 1 |
| 2.798 | 31.99 | 53 | 2 4 1 |
| 2.759 | 32.45 | 66 | 4 1 1 |
| 2.648 | 33.85 | 49 | 4 5 0 |
| 2.004 | 45.25 | 39 | 0 0 2 |